For Li3VP2HO8, a crystal structure in Alexandria, relaxed with GGA+U gives the calculated PXRD pattern in this record (Cu Kα X-rays).

Top 12 peaks for 15 to 90 degrees two-theta, by angle:
- 2θ = 23.64°, I 79.4, hkl 0 1 -1
- 2θ = 23.92°, I 60.2, hkl 1 0 1
- 2θ = 25.19°, I 100.0, hkl -1 1 1
- 2θ = 32.17°, I 37.4, hkl 1 1 0
- 2θ = 34.38°, I 38.0, hkl 1 0 -2
- 2θ = 34.66°, I 57.2, hkl 1 0 2
- 2θ = 35.21°, I 50.2, hkl 1 -2 0
- 2θ = 35.40°, I 15.9, hkl 2 -1 0
- 2θ = 48.54°, I 17.7, hkl 1 -1 3
- 2θ = 51.70°, I 20.4, hkl -2 2 2
- 2θ = 59.05°, I 17.8, hkl 0 0 4
- 2θ = 62.22°, I 21.7, hkl -3 1 2

Cell and atoms:
```
data_Li3VP2HO8
_chemical_formula_sum 'Li3 V1 P2 H1 O8'
_cell_length_a 5.0958
_cell_length_b 5.1246
_cell_length_c 6.2584
_cell_angle_alpha 90.34
_cell_angle_beta 90.29
_cell_angle_gamma 114.01
_symmetry_space_group_name_H-M 'P -1'
_symmetry_Int_Tables_number 2
loop_
_symmetry_equiv_pos_as_xyz
'x,y,z'
'-x,-y,-z'
loop_
_atom_site_label
_atom_site_fract_x
_atom_site_fract_y
_atom_site_fract_z
Li1 0.0000 0.0000 0.0000
Li2 0.3844 0.7759 0.7401
V1 0.0000 0.0000 0.5000
P1 0.3594 0.6394 0.2526
H1 0.0000 0.5000 0.0000
O1 0.2229 0.7009 0.0401
O2 0.2443 0.7498 0.4431
O3 0.2708 0.3114 0.2637
O4 0.3108 0.1917 0.7625
```

***

For LiVP2HO8, a crystal structure in Alexandria, relaxed with GGA+U gives the calculated PXRD pattern in this record (Cu Kα X-rays).

Top 12 peaks for 15 to 90 degrees two-theta, by angle:
- 2θ = 16.52°, I 63.9, hkl 0 1 1
- 2θ = 22.60°, I 50.5, hkl 1 1 -1
- 2θ = 25.12°, I 79.6, hkl 1 0 1
- 2θ = 25.42°, I 54.7, hkl 0 2 1
- 2θ = 27.51°, I 20.6, hkl 1 1 1
- 2θ = 29.22°, I 100.0, hkl 1 1 -2
- 2θ = 29.81°, I 25.4, hkl 1 2 -1
- 2θ = 33.40°, I 44.3, hkl 0 2 2
- 2θ = 38.71°, I 16.3, hkl 2 1 -1
- 2θ = 43.54°, I 15.6, hkl 1 3 -2
- 2θ = 52.21°, I 26.8, hkl 1 2 3
- 2θ = 58.49°, I 18.4, hkl 2 3 -3

Cell and atoms:
```
data_LiVP2HO8
_chemical_formula_sum 'Li2 V2 P4 H2 O16'
_cell_length_a 4.8746
_cell_length_b 8.0142
_cell_length_c 7.4786
_cell_angle_alpha 90.00
_cell_angle_beta 105.03
_cell_angle_gamma 90.00
_symmetry_space_group_name_H-M 'P 1 21 1'
_symmetry_Int_Tables_number 4
loop_
_symmetry_equiv_pos_as_xyz
'x,y,z'
'-x,y+1/2,-z'
loop_
_atom_site_label
_atom_site_fract_x
_atom_site_fract_y
_atom_site_fract_z
Li1 0.1518 0.0000 0.1042
V1 0.2593 0.6236 0.2650
P1 0.1165 0.9714 0.4820
P2 0.3738 0.2831 0.0092
H1 0.2903 0.6372 0.7646
O1 0.0139 0.5649 0.6960
O2 0.0744 0.4576 0.3828
O3 0.1093 0.1801 0.9041
O4 0.2101 0.7961 0.4375
O5 0.2724 0.4529 0.0628
O6 0.3911 0.0671 0.5961
O7 0.4147 0.8027 0.1119
O8 0.4966 0.1761 0.1857
```